Entry 1:
Theoretical X-ray powder pattern of LaNdSm4 for Cu Kα (weighted mean of Kα1 and Kα2), from the GGA-PBE geometry in Alexandria.
Kinematic intensities with the Lorentz-polarization factor, no thermal factor.

Peak list (8 most intense, 10° ≤ 2θ ≤ 80°, by angle)
- 29.87°, I = 100.0
- 34.63°, I = 50.7
- 49.78°, I = 36.3
- 59.07°, I = 14.5
- 59.18°, I = 28.8
- 62.06°, I = 12.5
- 72.93°, I = 1.9
- 73.13°, I = 3.8

Atomic structure:
a = 5.189 Å, b = 15.531 Å, c = 5.176 Å
α = 90.00°, β = 90.00°, γ = 90.00°
Space group Cmmm (No. 65)
One atom of each set of equivalent atoms:
La1 0.000 0.000 0.000
Nd1 0.000 0.500 0.500
Sm1 0.000 0.168 0.500
Sm2 0.000 0.332 0.000

---

Entry 2:
Theoretical X-ray powder pattern of Tb2NdSmS6 for Cu Kα (weighted mean of Kα1 and Kα2), from the GGA-PBE geometry in Alexandria.
Kinematic intensities with the Lorentz-polarization factor, no thermal factor.

Peak list (10 most intense, 10° ≤ 2θ ≤ 80°, by angle)
- 17.35°, I = 37.7
- 23.99°, I = 100.0
- 25.26°, I = 98.0
- 35.12°, I = 50.1
- 38.59°, I = 75.0
- 43.75°, I = 49.4
- 44.51°, I = 48.8
- 51.14°, I = 24.4
- 57.90°, I = 28.0
- 64.15°, I = 23.8

Atomic structure:
a = 7.0516 Å, b = 7.0516 Å, c = 18.6744 Å
α = 90.00°, β = 90.00°, γ = 120.00°
Space group R3 (No. 146, hexagonal axes)
One atom of each set of equivalent atoms:
Tb1 0.0000 0.0000 0.0000
Tb2 0.0000 0.0000 0.4987
Nd1 0.0000 0.0000 0.2052
Sm1 0.0000 0.0000 0.7030
S1 0.0105 0.3046 0.0983
S2 0.0167 0.7124 0.5983

---

Entry 3:
Theoretical X-ray powder pattern of Nd2Sm2CuRh4 for Cu Kα (weighted mean of Kα1 and Kα2), from the GGA-PBE geometry in Alexandria.
Kinematic intensities with the Lorentz-polarization factor, no thermal factor.

Peak list (10 most intense, 10° ≤ 2θ ≤ 80°, by angle)
- 25.94°, I = 7.3
- 33.88°, I = 100.0
- 34.97°, I = 11.0
- 37.01°, I = 60.0
- 43.63°, I = 11.4
- 44.06°, I = 15.9
- 53.35°, I = 20.5
- 58.52°, I = 18.5
- 64.71°, I = 29.5
- 71.29°, I = 10.0

Atomic structure:
a = 6.869 Å, b = 6.869 Å, c = 8.298 Å
α = 90.00°, β = 90.00°, γ = 90.00°
Space group I4/mmm (No. 139)
One atom of each set of equivalent atoms:
Nd1 0.000 0.500 0.250
Sm1 0.000 0.000 0.195
Cu1 0.000 0.000 0.500
Rh1 0.240 0.240 0.000

---

Entry 4:
Theoretical X-ray powder pattern of PaS5 for Cu Kα (weighted mean of Kα1 and Kα2), from the GGA-PBE geometry in Alexandria.
Kinematic intensities with the Lorentz-polarization factor, no thermal factor.

Peak list (10 most intense, 10° ≤ 2θ ≤ 80°, by angle)
- 12.28°, I = 100.0
- 16.65°, I = 32.3
- 20.01°, I = 19.5
- 20.75°, I = 22.9
- 21.69°, I = 15.3
- 24.97°, I = 17.6
- 29.72°, I = 15.5
- 30.16°, I = 21.0
- 33.66°, I = 14.6
- 35.97°, I = 21.5

Atomic structure:
a = 4.481 Å, b = 10.646 Å, c = 7.274 Å
α = 90.00°, β = 97.89°, γ = 90.00°
Space group P2_1/m (No. 11)
One atom of each set of equivalent atoms:
Pa1 0.081 0.250 0.492
S1 0.201 0.503 0.585
S2 0.221 0.155 0.176
S3 0.377 0.750 0.317

---

Entry 5:
Theoretical X-ray powder pattern of LiTm4Au3 for Cu Kα (weighted mean of Kα1 and Kα2), from the GGA-PBE geometry in Alexandria.
Kinematic intensities with the Lorentz-polarization factor, no thermal factor.

Peak list (10 most intense, 10° ≤ 2θ ≤ 80°, by angle)
- 12.45°, I = 4.7
- 18.68°, I = 4.5
- 25.80°, I = 10.6
- 35.65°, I = 100.0
- 44.50°, I = 5.1
- 51.26°, I = 12.5
- 51.40°, I = 4.7
- 64.01°, I = 26.6
- 64.12°, I = 7.3
- 75.45°, I = 7.1

Atomic structure:
a = 15.080 Å, b = 5.041 Å, c = 5.041 Å
α = 90.00°, β = 109.43°, γ = 90.00°
Space group C2/m (No. 12)
One atom of each set of equivalent atoms:
Li1 0.000 0.000 0.000
Tm1 0.126 0.000 0.626
Tm2 0.126 0.500 0.126
Au1 0.000 0.500 0.500
Au2 0.231 0.000 0.231

---

Entry 6:
Theoretical X-ray powder pattern of Mo3Rh for Cu Kα (weighted mean of Kα1 and Kα2), from the GGA-PBE geometry in Alexandria.
Kinematic intensities with the Lorentz-polarization factor, no thermal factor.

Peak list (3 most intense, 10° ≤ 2θ ≤ 80°, by angle)
- 39.49°, I = 100.0
- 45.92°, I = 48.0
- 66.96°, I = 30.3

Atomic structure:
a = 3.953 Å, b = 3.953 Å, c = 3.953 Å
α = 90.00°, β = 90.00°, γ = 90.00°
Space group Pm-3m (No. 221)
One atom of each set of equivalent atoms:
Mo1 0.000 0.000 0.500
Rh1 0.500 0.500 0.500

---

Entry 7:
Theoretical X-ray powder pattern of CaSn3Rh for Cu Kα (weighted mean of Kα1 and Kα2), from the GGA-PBE geometry in Alexandria.
Kinematic intensities with the Lorentz-polarization factor, no thermal factor.

Peak list (10 most intense, 10° ≤ 2θ ≤ 80°, by angle)
- 20.26°, I = 26.9
- 24.96°, I = 18.7
- 28.08°, I = 26.4
- 36.19°, I = 100.0
- 37.80°, I = 29.9
- 39.03°, I = 27.4
- 48.96°, I = 15.3
- 55.46°, I = 19.8
- 67.21°, I = 16.6
- 68.86°, I = 15.5

Atomic structure:
a = 4.615 Å, b = 4.760 Å, c = 11.241 Å
α = 90.00°, β = 90.00°, γ = 90.00°
Space group Amm2 (No. 38)
One atom of each set of equivalent atoms:
Ca1 0.000 0.000 0.000
Sn1 0.000 0.000 0.712
Sn2 0.500 0.000 0.192
Sn3 0.500 0.000 0.471
Rh1 0.000 0.000 0.322

---

Entry 8:
Theoretical X-ray powder pattern of RuC2O for Cu Kα (weighted mean of Kα1 and Kα2), from the GGA-PBE geometry in Alexandria.
Kinematic intensities with the Lorentz-polarization factor, no thermal factor.

Peak list (10 most intense, 10° ≤ 2θ ≤ 80°, by angle)
- 22.58°, I = 77.6
- 35.48°, I = 100.0
- 37.45°, I = 22.4
- 40.70°, I = 22.6
- 47.04°, I = 23.8
- 56.49°, I = 13.5
- 58.91°, I = 13.4
- 60.05°, I = 25.1
- 70.69°, I = 23.4
- 72.75°, I = 10.7

Atomic structure:
a = 4.434 Å, b = 4.434 Å, c = 8.571 Å
α = 90.00°, β = 90.00°, γ = 90.00°
Space group I-42d (No. 122)
One atom of each set of equivalent atoms:
Ru1 0.000 0.000 0.000
C1 0.238 0.250 0.625
O1 0.000 0.000 0.500

---

Entry 9:
Theoretical X-ray powder pattern of PmHfTaIr2 for Cu Kα (weighted mean of Kα1 and Kα2), from the GGA-PBE geometry in Alexandria.
Kinematic intensities with the Lorentz-polarization factor, no thermal factor.

Peak list (10 most intense, 10° ≤ 2θ ≤ 80°, by angle)
- 32.00°, I = 64.1
- 32.83°, I = 100.0
- 40.27°, I = 83.8
- 44.22°, I = 57.1
- 46.91°, I = 27.0
- 52.34°, I = 32.5
- 58.27°, I = 28.7
- 63.51°, I = 22.0
- 68.52°, I = 24.2
- 75.96°, I = 23.7

Atomic structure:
a = 4.479 Å, b = 4.479 Å, c = 10.740 Å
α = 90.00°, β = 90.00°, γ = 90.00°
Space group I-4m2 (No. 119)
One atom of each set of equivalent atoms:
Pm1 0.000 0.000 0.000
Hf1 0.000 0.500 0.250
Ta1 0.000 0.500 0.750
Ir1 0.000 0.000 0.378

---

Entry 10:
Theoretical X-ray powder pattern of ScPaAsSe for Cu Kα (weighted mean of Kα1 and Kα2), from the GGA-PBE geometry in Alexandria.
Kinematic intensities with the Lorentz-polarization factor, no thermal factor.

Peak list (10 most intense, 10° ≤ 2θ ≤ 80°, by angle)
- 12.38°, I = 64.6
- 28.14°, I = 93.5
- 31.71°, I = 22.3
- 34.16°, I = 100.0
- 40.05°, I = 64.6
- 47.44°, I = 49.9
- 59.74°, I = 20.0
- 63.78°, I = 16.5
- 72.30°, I = 25.1
- 79.62°, I = 17.6

Atomic structure:
a = 3.8329 Å, b = 3.8329 Å, c = 21.4431 Å
α = 90.00°, β = 90.00°, γ = 120.00°
Space group R3m (No. 160, hexagonal axes)
One atom of each set of equivalent atoms:
Sc1 0.0000 0.0000 0.0000
Pa1 0.0000 0.0000 0.1783
As1 0.0000 0.0000 0.5954
Se1 0.0000 0.0000 0.7520

---

Entry 11:
Theoretical X-ray powder pattern of TbNd2Sc8 for Cu Kα (weighted mean of Kα1 and Kα2), from the GGA-PBE geometry in Alexandria.
Kinematic intensities with the Lorentz-polarization factor, no thermal factor.

Peak list (10 most intense, 10° ≤ 2θ ≤ 80°, by angle)
- 21.40°, I = 33.6
- 22.76°, I = 55.0
- 24.13°, I = 32.5
- 25.03°, I = 43.9
- 29.35°, I = 34.1
- 31.51°, I = 59.0
- 32.40°, I = 43.4
- 33.41°, I = 100.0
- 34.39°, I = 55.2
- 41.96°, I = 31.7

Atomic structure:
a = 8.687 Å, b = 15.336 Å, c = 5.544 Å
α = 90.00°, β = 125.00°, γ = 90.00°
Space group C2/m (No. 12)
One atom of each set of equivalent atoms:
Tb1 0.000 0.000 0.000
Nd1 0.000 0.306 0.500
Sc1 0.000 0.206 0.000
Sc2 0.054 0.500 0.789
Sc3 0.214 0.117 0.684

---

Entry 12:
Theoretical X-ray powder pattern of Ho5Er3Se8 for Cu Kα (weighted mean of Kα1 and Kα2), from the GGA-PBE geometry in Alexandria.
Kinematic intensities with the Lorentz-polarization factor, no thermal factor.

Peak list (8 most intense, 10° ≤ 2θ ≤ 80°, by angle)
- 26.97°, I = 22.6
- 31.24°, I = 100.0
- 44.77°, I = 74.0
- 53.04°, I = 11.2
- 55.60°, I = 26.0
- 65.17°, I = 12.1
- 71.87°, I = 4.6
- 74.04°, I = 33.3

Atomic structure:
a = 8.1003 Å, b = 8.1003 Å, c = 19.8223 Å
α = 90.00°, β = 90.00°, γ = 120.00°
Space group R-3m (No. 166, hexagonal axes)
One atom of each set of equivalent atoms:
Ho1 0.0000 0.0000 0.0000
Ho2 0.0000 0.0000 0.5000
Ho3 0.0000 0.5000 0.0000
Er1 0.0000 0.5000 0.5000
Se1 0.0000 0.0000 0.2493
Se2 0.0009 0.5005 0.7504